(1)
# Hf3Tc2Ir
Simulated X-ray powder pattern, Cu Kα, 1.54184 Å. Input: a structure optimized by DFT (PBE).
Kinematic intensities with the Lorentz-polarization factor, no thermal factor.

Atomic structure:
```
data_Hf3Tc2Ir
_chemical_formula_sum 'Hf3 Tc2 Ir1'
_space_group_name_H-M_alt 'P 4/m m m'
_space_group_IT_number 123
_space_group_name_Hall '-P 4 2'
_cell_length_a 3.271
_cell_length_b 3.271
_cell_length_c 9.747
_cell_angle_alpha 90.00
_cell_angle_beta 90.00
_cell_angle_gamma 90.00
loop_
_atom_site_label
_atom_site_fract_x
_atom_site_fract_y
_atom_site_fract_z
_atom_site_occupancy
Hf1 0.000 0.000 0.000 1
Hf2 0.000 0.000 0.329 1
Tc1 0.500 0.500 0.169 1
Ir1 0.500 0.500 0.500 1
```

Peak list (10 most intense, 2θ from 10° to 90°, in order of rising 2θ)
d [Å]	Position (°2θ)	intensity	hkl
3.271	27.26	28	1 0 0
3.101	28.79	26	1 0 1
2.313	38.94	507	1 1 0
2.305	39.08	1000	1 0 3
1.636	56.24	175	2 0 0
1.625	56.66	84	0 0 6
1.334	70.61	352	2 1 3
1.329	70.89	172	1 1 6
1.157	83.61	57	2 2 0
1.153	83.96	111	2 0 6

***

(2)
# Zn8Cu6Ni
Simulated X-ray powder pattern, Cu Kα, 1.54184 Å. Input: a structure optimized by DFT (PBE).
Kinematic intensities with the Lorentz-polarization factor, no thermal factor.

Atomic structure:
```
data_Zn8Cu6Ni
_chemical_formula_sum 'Zn24 Cu18 Ni3'
_space_group_name_H-M_alt 'R -3'
_space_group_IT_number 148
_space_group_name_Hall '-R 3'
_cell_length_a 6.6162
_cell_length_b 6.6162
_cell_length_c 15.8007
_cell_angle_alpha 90.00
_cell_angle_beta 90.00
_cell_angle_gamma 120.00
loop_
_atom_site_label
_atom_site_fract_x
_atom_site_fract_y
_atom_site_fract_z
_atom_site_occupancy
Zn1 0.0000 0.0000 0.0848 1
Zn2 0.0460 0.2537 0.6279 1
Cu1 0.0174 0.7700 0.2081 1
Ni1 0.0000 0.0000 0.5000 1
```

Peak list (10 most intense, 2θ from 10° to 90°, in order of rising 2θ)
d [Å]	Position (°2θ)	intensity	hkl
2.146	42.11	1000	2 1 1
2.123	42.60	511	2 0 5
2.100	43.07	396	1 0 7
2.089	43.32	500	3 -2 2
2.060	43.95	707	2 -1 6
1.910	47.61	94	3 0 0
1.786	51.13	271	1 2 5
1.250	76.13	171	1 4 0
1.209	79.20	137	4 0 7
1.197	80.18	105	3 -2 11

***

(3)
# Ac2TmPd2O6
Simulated X-ray powder pattern, Cu Kα, 1.54184 Å. Input: a structure optimized by DFT (PBE).
Kinematic intensities with the Lorentz-polarization factor, no thermal factor.

Atomic structure:
```
data_Ac2TmPd2O6
_chemical_formula_sum 'Ac6 Tm3 Pd6 O18'
_space_group_name_H-M_alt 'R -3 m'
_space_group_IT_number 166
_space_group_name_Hall '-R 3 2"'
_cell_length_a 6.2074
_cell_length_b 6.2074
_cell_length_c 16.5516
_cell_angle_alpha 90.00
_cell_angle_beta 90.00
_cell_angle_gamma 120.00
loop_
_atom_site_label
_atom_site_fract_x
_atom_site_fract_y
_atom_site_fract_z
_atom_site_occupancy
Ac1 0.0000 0.0000 0.2111 1
Tm1 0.0000 0.0000 0.0000 1
Pd1 0.0000 0.0000 0.4091 1
O1 0.0438 0.5219 0.7621 1
```

Peak list (10 most intense, 2θ from 10° to 90°, in order of rising 2θ)
d [Å]	Position (°2θ)	intensity	hkl
3.104	28.76	1000	1 1 0
2.819	31.74	706	0 1 5
2.087	43.36	353	2 0 5
1.792	50.96	206	3 0 0
1.732	52.87	384	1 2 5
1.582	58.33	193	1 0 10
1.552	59.57	162	2 2 0
1.359	69.09	160	3 1 5
1.283	73.84	144	2 1 10
1.155	83.70	115	2 3 5